1.
Starting from DFT lattice parameters and positions (PBE), the XRD peak list of NdPd was computed for CuKα.
Peak positions follow from Bragg's law for the DFT cell and can differ from measured ones.

Main lines, in order of rising 2θ (10 to 90 degrees two-theta):
2θ/deg, d [Å], I_rel
31.10, 2.876, 100
32.77, 2.733, 32
33.79, 2.653, 20
38.14, 2.360, 18
38.50, 2.338, 33
39.04, 2.307, 69
46.97, 1.934, 19
51.43, 1.777, 18

Atomic structure:
Cell: 3.869 10.933 4.677 Å, 90.00 90.00 90.00°
Sites, in units of the cell vectors:
Nd: 0.000 0.136 0.250
Nd: 0.000 0.864 0.750
Nd: 0.500 0.364 0.750
Nd: 0.500 0.636 0.250
Pd: 0.000 0.414 0.250
Pd: 0.000 0.586 0.750
Pd: 0.500 0.086 0.750
Pd: 0.500 0.914 0.250



2.
Starting from DFT lattice parameters and positions (PBE), the XRD peak list of Nd2PdRu3 was computed for CuKα.
Peak positions follow from Bragg's law for the DFT cell and can differ from measured ones.

Main lines, in order of rising 2θ (10 to 90 degrees two-theta):
2θ/deg, d [Å], I_rel
32.14, 2.785, 42
33.55, 2.671, 40
37.65, 2.389, 65
38.88, 2.316, 100
39.49, 2.282, 50
41.11, 2.196, 49
62.71, 1.482, 29
67.24, 1.392, 30

Atomic structure:
Cell: 5.580 5.580 5.580 Å, 57.20 57.20 57.20°
Sites, in units of the cell vectors:
Nd: 0.121 0.121 0.121
Nd: 0.879 0.879 0.879
Pd: 0.500 0.500 0.500
Ru: 0.000 0.500 0.500
Ru: 0.500 0.000 0.500
Ru: 0.500 0.500 0.000



3.
Starting from DFT lattice parameters and positions (PBE), the XRD peak list of NdPd3S4 was computed for CuKα.
Peak positions follow from Bragg's law for the DFT cell and can differ from measured ones.

Main lines, in order of rising 2θ (10 to 90 degrees two-theta):
2θ/deg, d [Å], I_rel
29.51, 3.027, 95
32.40, 2.763, 100
48.49, 1.877, 23
50.45, 1.809, 57
54.20, 1.692, 31
62.92, 1.477, 21
75.66, 1.257, 18
80.22, 1.197, 20

Atomic structure:
Cell: 6.769 6.769 6.769 Å, 90.00 90.00 90.00°
Sites, in units of the cell vectors:
Nd: 0.000 0.000 0.000
Nd: 0.500 0.500 0.500
Pd: 0.000 0.250 0.500
Pd: 0.000 0.750 0.500
Pd: 0.250 0.500 0.000
Pd: 0.500 0.000 0.250
Pd: 0.500 0.000 0.750
Pd: 0.750 0.500 0.000
S: 0.250 0.250 0.250
S: 0.250 0.250 0.750
S: 0.250 0.750 0.250
S: 0.250 0.750 0.750
S: 0.750 0.250 0.250
S: 0.750 0.250 0.750
S: 0.750 0.750 0.250
S: 0.750 0.750 0.750